Entry 1:
Simulated X-ray powder pattern of BrO for CuKα, from a structure optimized by DFT (GGA-PBE).

Crystal structure
```
data_BrO
_chemical_formula_sum 'Br4 O4'
_cell_length_a 4.5600
_cell_length_b 7.0996
_cell_length_c 7.8900
_cell_angle_alpha 74.67
_cell_angle_beta 82.75
_cell_angle_gamma 71.61
_space_group_name_H-M_alt 'P -1'
_space_group_IT_number 2
loop_
_space_group_symop_operation_xyz
'x,y,z'
'-x,-y,-z'
loop_
_atom_site_label
_atom_site_fract_x
_atom_site_fract_y
_atom_site_fract_z
Br1 0.0197 0.3112 0.0787
Br2 0.3573 0.5271 0.6336
O1 0.0192 0.9926 0.7329
O2 0.1487 0.9834 0.5853
```

Largest 10 diffraction maxima, in order of rising 2θ, 5 to 70 degrees two-theta:
2theta  I/Imax  h k l
13.53  71  0 1 0
21.93  100  1 1 1
23.19  79  1 0 1
24.13  20  0 1 2
32.08  24  1 0 -2
32.27  43  0 2 -1
34.79  28  0 1 3
35.16  28  -1 1 2
40.46  32  1 3 0
43.83  24  2 1 2

=====

Entry 2:
Simulated X-ray powder pattern of BrO for CuKα, from a structure optimized by DFT (GGA-PBE).

Crystal structure
```
data_BrO
_chemical_formula_sum 'Br4 O4'
_cell_length_a 5.2002
_cell_length_b 6.0718
_cell_length_c 7.7674
_cell_angle_alpha 93.13
_cell_angle_beta 94.18
_cell_angle_gamma 107.87
_space_group_name_H-M_alt 'P 1'
_space_group_IT_number 1
loop_
_space_group_symop_operation_xyz
'x,y,z'
loop_
_atom_site_label
_atom_site_fract_x
_atom_site_fract_y
_atom_site_fract_z
Br1 0.0000 0.0000 0.0000
Br2 0.0889 0.9257 0.5779
Br3 0.2566 0.5010 0.2722
Br4 0.6473 0.6916 0.8245
O1 0.1188 0.8257 0.3682
O2 0.3382 0.2745 0.1483
O3 0.4847 0.2315 0.4775
O4 0.4858 0.1216 0.3397
```

Largest 10 diffraction maxima, in order of rising 2θ, 5 to 70 degrees two-theta:
2theta  I/Imax  h k l
15.38  45  0 1 0
18.46  40  0 1 -1
19.72  100  1 -1 0
20.45  62  1 0 -1
22.30  43  1 0 1
23.09  96  1 -1 1
26.73  79  0 1 -2
27.98  57  1 0 -2
28.87  38  0 1 2
30.69  63  1 -2 0

=====

Entry 3:
Simulated X-ray powder pattern of OsBrO4 for CuKα, from a structure optimized by DFT (GGA-PBE).

Crystal structure
```
data_OsBrO4
_chemical_formula_sum 'Os2 Br2 O8'
_cell_length_a 8.4338
_cell_length_b 6.6384
_cell_length_c 5.5234
_cell_angle_alpha 90.00
_cell_angle_beta 90.00
_cell_angle_gamma 90.00
_space_group_name_H-M_alt 'P m n 21'
_space_group_IT_number 31
loop_
_space_group_symop_operation_xyz
'x,y,z'
'-x+1/2,-y,z+1/2'
'-x,y,z'
'x+1/2,-y,z+1/2'
loop_
_atom_site_label
_atom_site_fract_x
_atom_site_fract_y
_atom_site_fract_z
Os1 0.0000 0.1947 0.0000
Br1 0.0000 0.6299 0.5816
O1 0.0000 0.1147 0.2966
O2 0.0000 0.4576 0.9939
O3 0.1667 0.1055 0.8556
```

Largest 10 diffraction maxima, in order of rising 2θ, 5 to 70 degrees two-theta:
2theta  I/Imax  h k l
17.00  55  1 1 0
19.21  42  1 0 1
20.92  100  0 1 1
21.07  68  2 0 0
23.46  28  1 1 1
28.91  39  1 2 0
29.86  72  2 1 1
38.99  21  2 0 2
45.42  31  1 3 1
48.19  28  4 1 1

=====

Entry 4:
Simulated X-ray powder pattern of PaPBrO6 for CuKα, from a structure optimized by DFT (GGA-PBE).

Crystal structure
```
data_PaPBrO6
_chemical_formula_sum 'Pa1 P1 Br1 O6'
_cell_length_a 5.4124
_cell_length_b 5.4890
_cell_length_c 7.0135
_cell_angle_alpha 82.03
_cell_angle_beta 88.83
_cell_angle_gamma 62.88
_space_group_name_H-M_alt 'P 1'
_space_group_IT_number 1
loop_
_space_group_symop_operation_xyz
'x,y,z'
loop_
_atom_site_label
_atom_site_fract_x
_atom_site_fract_y
_atom_site_fract_z
Pa1 0.0000 0.0000 0.0000
P1 0.7469 0.6233 0.9386
Br1 0.3270 0.8612 0.5211
O1 0.2240 0.9404 0.2702
O2 0.4259 0.7860 0.8615
O3 0.6811 0.3720 0.0757
O4 0.8088 0.8817 0.8003
O5 0.8470 0.6975 0.1250
O6 0.9716 0.3906 0.8280
```

Largest 10 diffraction maxima, in order of rising 2θ, 5 to 70 degrees two-theta:
2theta  I/Imax  h k l
12.76  100  0 0 1
18.38  100  0 1 0
19.17  53  1 1 0
21.96  53  1 0 -1
22.07  19  1 1 1
23.00  39  1 0 1
25.68  33  0 0 2
30.74  20  1 1 2
32.85  27  -1 1 1
33.00  23  1 2 0